[1]
Simulated powder diffractogram
Compound: NdHoEr2Tm2
Radiation: Cu Kα (λ = 1.5418 Å)
Structure: a cell relaxed with GGA-PBE
Intensities are scaled so that the largest is 1000.

Cell and atoms:
abc: 6.8699 9.7170 5.5842
angles: 90.00 90.00 90.00
Sites, in units of the cell vectors:
Nd: 0.0000 0.0000 0.0000
Nd: 0.5000 0.5000 0.5000
Ho: 0.0000 0.5000 0.5000
Ho: 0.5000 0.0000 0.0000
Er: 0.2488 0.3332 0.0000
Er: 0.2512 0.8332 0.5000
Er: 0.7488 0.1668 0.5000
Er: 0.7512 0.6668 0.0000
Tm: 0.2486 0.6664 0.0000
Tm: 0.2514 0.1664 0.5000
Tm: 0.7486 0.8336 0.5000
Tm: 0.7514 0.3336 0.0000

The 10 most intense peaks (2θ from 10° to 80°), in order of rising 2θ:
31.94 deg, d = 2.802 Å, I 1000
32.06 deg, d = 2.792 Å, I 215
41.63 deg, d = 2.170 Å, I 87
45.75 deg, d = 1.983 Å, I 70
45.86 deg, d = 1.979 Å, I 139
53.34 deg, d = 1.717 Å, I 52
56.90 deg, d = 1.618 Å, I 190
57.07 deg, d = 1.614 Å, I 157
63.56 deg, d = 1.464 Å, I 191
66.78 deg, d = 1.401 Å, I 53

[2]
Simulated powder diffractogram
Compound: Te5C7
Radiation: Cu Kα (λ = 1.5418 Å)
Structure: a cell relaxed with GGA-PBE
Intensities are scaled so that the largest is 1000.

Cell and atoms:
abc: 6.9686 6.9686 6.9686
angles: 108.23 108.23 111.99
Sites, in units of the cell vectors:
Te: 0.0000 0.0000 0.0000
Te: 0.1329 0.1329 0.5802
Te: 0.1329 0.5526 0.0000
Te: 0.5526 0.1329 0.0000
Te: 0.5526 0.5526 0.4198
C: 0.1067 0.4460 0.6607
C: 0.2823 0.2823 0.0000
C: 0.4460 0.1067 0.6607
C: 0.4460 0.7853 0.3393
C: 0.4491 0.9491 0.5000
C: 0.7853 0.4460 0.3393
C: 0.9491 0.4491 0.5000

The 10 most intense peaks (2θ from 10° to 80°), in order of rising 2θ:
15.71 deg, d = 5.640 Å, I 381
21.76 deg, d = 4.085 Å, I 367
22.82 deg, d = 3.898 Å, I 630
26.95 deg, d = 3.308 Å, I 627
30.96 deg, d = 2.888 Å, I 605
31.73 deg, d = 2.820 Å, I 1000
34.90 deg, d = 2.571 Å, I 455
38.81 deg, d = 2.321 Å, I 308
51.99 deg, d = 1.759 Å, I 314
53.67 deg, d = 1.708 Å, I 333